1.
Computed PXRD pattern of Tb2Tm3Cd6 for CuKα, from a crystal structure in Alexandria, relaxed with GGA-PBE.
Lines closer than 0.1° are merged.

Structural model:
```
Tb2Tm3Cd6
1.0
-2.4801 2.4801 13.7101
2.4801 -2.4801 13.7101
2.4801 2.4801 -13.7101
Tb Tm Cd
2 3 6
direct
0.1349 0.1349 0.0000
0.8651 0.8651 0.0000
0.3655 0.3655 0.0000
0.5000 0.5000 0.0000
0.6345 0.6345 0.0000
0.0641 0.5641 0.5000
0.2508 0.2508 0.0000
0.4359 0.9359 0.5000
0.5641 0.0641 0.5000
0.7492 0.7492 0.0000
0.9359 0.4359 0.5000
```

Peak list (8 most intense, 15 to 90 degrees two-theta, sorted by position)
d [Å]  Rel. int.
3.507  22
3.398  25
2.782  18
2.480  57
2.451  100
1.754  20
1.426  36
1.410  13



2.
Computed PXRD pattern of TbTm6Cd2 for CuKα, from a crystal structure in Alexandria, relaxed with GGA-PBE.
Lines closer than 0.1° are merged.

Structural model:
```
TbTm6Cd2
1.0
6.2357 -1.8401 0.0000
6.2357 1.8401 0.0000
-3.7401 0.0000 11.1209
Tb Tm Cd
1 6 2
direct
0.0000 0.0000 0.0000
0.0138 0.0138 0.3408
0.3132 0.3132 0.4180
0.3158 0.3158 0.1237
0.6842 0.6842 0.8763
0.6868 0.6868 0.5820
0.9862 0.9862 0.6592
0.3519 0.3519 0.7875
0.6481 0.6481 0.2125
```

Peak list (8 most intense, 15 to 90 degrees two-theta, sorted by position)
d [Å]  Rel. int.
2.783  57
2.768  48
2.690  98
2.680  100
1.955  16
1.840  18
1.584  32
1.535  21



3.
Computed PXRD pattern of Tb3Tm5Cd for CuKα, from a crystal structure in Alexandria, relaxed with GGA-PBE.
Lines closer than 0.1° are merged.

Structural model:
```
Tb3Tm5Cd
1.0
5.9367 -5.5798 0.0000
5.9367 5.5798 0.0000
-3.1537 0.0000 9.5268
Tb Tm Cd
6 10 2
direct
0.0000 0.0000 0.0000
0.0012 0.0012 0.6742
0.4957 0.4957 0.8132
0.5000 0.5000 0.5000
0.5043 0.5043 0.1868
0.9988 0.9988 0.3258
0.0695 0.5520 0.2043
0.2461 0.2461 0.5918
0.2644 0.2644 0.9469
0.2658 0.7342 0.0000
0.4480 0.9305 0.7957
0.5520 0.0695 0.2043
0.7342 0.2658 0.0000
0.7356 0.7356 0.0531
0.7539 0.7539 0.4082
0.9305 0.4480 0.7957
0.2371 0.2371 0.2688
0.7629 0.7629 0.7312
```

Peak list (8 most intense, 15 to 90 degrees two-theta, sorted by position)
d [Å]  Rel. int.
5.580  36
2.822  100
2.799  31
2.790  72
2.762  35
2.746  53
2.297  39
1.983  32



4.
Computed PXRD pattern of TbTm3Cd for CuKα, from a crystal structure in Alexandria, relaxed with GGA-PBE.
Lines closer than 0.1° are merged.

Structural model:
```
TbTm3Cd
1.0
6.4151 -1.7973 0.0000
6.4151 1.7973 0.0000
-0.8888 0.0000 12.4859
Tb Tm Cd
2 6 2
direct
0.2339 0.2339 0.2555
0.7661 0.7661 0.7445
0.0338 0.0338 0.6881
0.1462 0.1462 0.9456
0.3654 0.3654 0.5200
0.6346 0.6346 0.4800
0.8538 0.8538 0.0544
0.9662 0.9662 0.3119
0.4426 0.4426 0.8739
0.5574 0.5574 0.1261
```

Peak list (8 most intense, 15 to 90 degrees two-theta, sorted by position)
d [Å]  Rel. int.
2.887  37
2.769  60
2.711  100
2.636  92
1.797  17
1.603  23
1.557  19
1.508  19



5.
Computed PXRD pattern of TbTmCd17 for CuKα, from a crystal structure in Alexandria, relaxed with GGA-PBE.
Lines closer than 0.1° are merged.

Structural model:
```
TbTmCd17
1.0
5.0185 2.8974 5.0094
-5.0185 2.8974 5.0094
0.0000 -5.7948 5.0094
Tb Tm Cd
1 1 17
direct
0.0000 0.0000 0.0000
0.3517 0.3517 0.3517
0.0157 0.0157 0.5597
0.0157 0.5597 0.0157
0.2075 0.6525 0.6525
0.2962 0.2962 0.9085
0.2962 0.9085 0.2962
0.3680 0.6786 0.9860
0.3680 0.9860 0.6786
0.5597 0.0157 0.0157
0.5857 0.5857 0.5857
0.6525 0.2075 0.6525
0.6525 0.6525 0.2075
0.6786 0.3680 0.9860
0.6786 0.9860 0.3680
0.7769 0.7769 0.7769
0.9085 0.2962 0.2962
0.9860 0.3680 0.6786
0.9860 0.6786 0.3680
```

Peak list (8 most intense, 15 to 90 degrees two-theta, sorted by position)
d [Å]  Rel. int.
2.897  23
2.842  10
2.508  100
2.472  17
2.243  20
1.673  8
1.447  18
1.391  8



6.
Computed PXRD pattern of Tb6TmCd5 for CuKα, from a crystal structure in Alexandria, relaxed with GGA-PBE.
Lines closer than 0.1° are merged.

Structural model:
```
Tb6TmCd5
1.0
8.4301 -3.8792 0.0000
8.4301 3.8792 0.0000
-1.6401 0.0000 5.0046
Tb Tm Cd
6 1 5
direct
0.0745 0.5843 0.3292
0.2329 0.7671 0.0000
0.4157 0.9255 0.6708
0.5843 0.0745 0.3292
0.7671 0.2329 0.0000
0.9255 0.4157 0.6708
0.5000 0.5000 0.5000
0.0000 0.0000 0.5000
0.1683 0.1683 0.1685
0.3469 0.3469 0.8467
0.6531 0.6531 0.1533
0.8317 0.8317 0.8315
```

Peak list (8 most intense, 15 to 90 degrees two-theta, sorted by position)
d [Å]  Rel. int.
2.696  100
2.670  24
2.633  24
1.940  9
1.875  17
1.547  17
1.532  18
1.348  11



7.
Computed PXRD pattern of Tb2Tm5Cd for CuKα, from a crystal structure in Alexandria, relaxed with GGA-PBE.
Lines closer than 0.1° are merged.

Structural model:
```
Tb2Tm5Cd
1.0
6.5528 0.0000 0.0000
-2.8462 5.9029 0.0000
-1.8662 -2.9383 6.0558
Tb Tm Cd
2 5 1
direct
0.0000 0.0000 0.0000
0.4170 0.8947 0.3145
0.0022 0.0048 0.4875
0.4081 0.9074 0.8189
0.4798 0.4825 0.4877
0.8932 0.4189 0.3150
0.9076 0.4093 0.8190
0.4878 0.4860 0.9765
```

Peak list (8 most intense, 15 to 90 degrees two-theta, sorted by position)
d [Å]  Rel. int.
3.023  35
2.775  37
2.656  100
2.651  48
1.747  19
1.579  15
1.576  15
1.476  21



8.
Computed PXRD pattern of Tb6TmCd for CuKα, from a crystal structure in Alexandria, relaxed with GGA-PBE.
Lines closer than 0.1° are merged.

Structural model:
```
Tb6TmCd
1.0
4.9027 0.0000 0.0000
0.0000 4.9027 0.0000
0.0000 0.0000 10.0224
Tb Tm Cd
6 1 1
direct
0.0000 0.0000 0.0000
0.0000 0.0000 0.5000
0.0000 0.5000 0.2459
0.0000 0.5000 0.7541
0.5000 0.0000 0.2459
0.5000 0.0000 0.7541
0.5000 0.5000 0.5000
0.5000 0.5000 0.0000
```

Peak list (8 most intense, 15 to 90 degrees two-theta, sorted by position)
d [Å]  Rel. int.
2.851  100
2.506  17
2.451  33
1.752  24
1.733  12
1.505  14
1.481  28
1.426  12



9.
Computed PXRD pattern of Tb4Y2Cd for CuKα, from a crystal structure in Alexandria, relaxed with GGA-PBE.
Lines closer than 0.1° are merged.

Structural model:
```
Tb4Y2Cd
1.0
16.5725 0.0000 0.0000
0.0000 3.4952 0.0000
-3.9457 0.0000 7.5574
Tb Y Cd
8 4 2
direct
0.0813 0.0000 0.2019
0.1298 0.5000 0.8931
0.3702 0.0000 0.1069
0.4187 0.5000 0.7981
0.5813 0.5000 0.2019
0.6298 0.0000 0.8931
0.8702 0.5000 0.1069
0.9187 0.0000 0.7981
0.2169 0.0000 0.6412
0.2831 0.5000 0.3588
0.7169 0.5000 0.6412
0.7831 0.0000 0.3588
0.0000 0.0000 0.5000
0.5000 0.5000 0.5000
```

Peak list (8 most intense, 15 to 90 degrees two-theta, sorted by position)
d [Å]  Rel. int.
2.984  32
2.935  100
2.829  74
2.816  72
2.704  66
2.639  27
2.403  57
1.486  41



10.
Computed PXRD pattern of Tb2YCd for CuKα, from a crystal structure in Alexandria, relaxed with GGA-PBE.
Lines closer than 0.1° are merged.

Structural model:
```
Tb2YCd
1.0
3.6095 0.0000 0.0000
0.0000 3.6095 0.0000
0.0000 0.0000 9.0628
Tb Y Cd
2 1 1
direct
0.0000 0.0000 0.2258
0.0000 0.0000 0.7742
0.5000 0.5000 0.5000
0.5000 0.5000 0.0000
```

Peak list (8 most intense, 15 to 90 degrees two-theta, sorted by position)
d [Å]  Rel. int.
2.823  100
2.552  40
2.266  11
1.805  14
1.694  18
1.521  30
1.412  10
1.393  7



11.
Computed PXRD pattern of Tb2Y3Cd for CuKα, from a crystal structure in Alexandria, relaxed with GGA-PBE.
Lines closer than 0.1° are merged.

Structural model:
```
Tb2Y3Cd
1.0
3.5802 0.0000 0.0000
0.0000 3.5802 0.0000
0.0000 0.0000 14.1977
Tb Y Cd
2 3 1
direct
0.0000 0.0000 0.1773
0.0000 0.0000 0.8227
0.5000 0.5000 0.0000
0.5000 0.5000 0.3545
0.5000 0.5000 0.6455
0.0000 0.0000 0.5000
```

Peak list (8 most intense, 15 to 90 degrees two-theta, sorted by position)
d [Å]  Rel. int.
2.855  100
2.532  38
2.366  12
1.790  13
1.729  19
1.517  29
1.428  10
1.124  7



12.
Computed PXRD pattern of Tb5Y4Cd for CuKα, from a crystal structure in Alexandria, relaxed with GGA-PBE.
Lines closer than 0.1° are merged.

Structural model:
```
Tb5Y4Cd
1.0
-5.2981 5.2981 2.8869
5.2981 -5.2981 2.8869
5.2981 5.2981 -2.8869
Tb Y Cd
5 4 1
direct
0.0000 0.0000 0.0000
0.5261 0.5261 0.6308
0.5261 0.8952 0.0000
0.8952 0.5261 0.0000
0.8952 0.8952 0.3692
0.2005 0.5198 0.3193
0.2005 0.8812 0.6807
0.5198 0.2005 0.3193
0.8812 0.2005 0.6807
0.4786 0.4786 0.0000
```

Peak list (8 most intense, 15 to 90 degrees two-theta, sorted by position)
d [Å]  Rel. int.
3.013  100
2.619  15
2.535  25
2.498  44
2.187  14
1.690  15
1.538  16
1.524  18



13.
Computed PXRD pattern of TbYCd17 for CuKα, from a crystal structure in Alexandria, relaxed with GGA-PBE.
Lines closer than 0.1° are merged.

Structural model:
```
TbYCd17
1.0
5.0244 2.9008 4.9994
-5.0244 2.9008 4.9994
0.0000 -5.8017 4.9994
Tb Y Cd
1 1 17
direct
0.0000 0.0000 0.0000
0.3465 0.3465 0.3465
0.0175 0.0175 0.5538
0.0175 0.5539 0.0175
0.2032 0.6521 0.6521
0.2976 0.2976 0.8942
0.2976 0.8942 0.2976
0.3687 0.6773 0.9808
0.3687 0.9808 0.6773
0.5539 0.0175 0.0175
0.5837 0.5837 0.5837
0.6521 0.2032 0.6521
0.6521 0.6521 0.2032
0.6773 0.3687 0.9808
0.6773 0.9808 0.3687
0.7773 0.7773 0.7773
0.8942 0.2976 0.2976
0.9808 0.3687 0.6773
0.9808 0.6773 0.3687
```

Peak list (8 most intense, 15 to 90 degrees two-theta, sorted by position)
d [Å]  Rel. int.
2.901  26
2.840  12
2.510  100
2.500  20
2.471  22
2.245  28
2.238  10
1.445  14